This entry pairs a crystal structure of ThZn5Pt2 with its simulated X-ray powder pattern. Radiation: Cu Kα, 1.54184 Å. Structure: DFT lattice parameters and positions (GGA-PBE).
Kinematic intensities with the Lorentz-polarization factor, no thermal factor.

Cell and atoms:
Cell: 3.9916 7.6543 9.5299 Å, 90.00 90.00 90.00°
Space group Immm (No. 71)
Unique sites:
Th (0.0000, 0.0000, 0.0000) x2
Zn (0.0000, 0.1801, 0.3538) x8
Zn (0.0000, 0.5000, 0.0000) x2
Pt (0.0000, 0.5000, 0.2712) x4

Most intense lines, 10 to 90 degrees two-theta, by angle:
d/Å, intensity, index
3.827, 54, 0 2 0
2.841, 100, 1 1 2
2.653, 44, 1 2 1
2.486, 74, 1 0 3
2.465, 20, 0 3 1
2.150, 25, 1 3 0
2.023, 49, 0 2 4
1.996, 36, 2 0 0
1.960, 52, 1 3 2
1.421, 31, 2 2 4